1.
Theoretical XRD peak list of K6Sn2S7 for Cu Kα, 1.54184 Å, from a crystal structure in Alexandria, relaxed with GGA-PBE.
Peak positions follow from Bragg's law for the DFT cell and can differ from measured ones.

Structural model:
Unit cell a=9.8451 b=13.2649 c=14.6012 alpha=90.00 beta=90.00 gamma=90.00
Space group P2_12_12_1 (No. 19)
One atom of each set of equivalent atoms:
1 K 0.0253 0.1628 0.1846 (multiplicity 4)
2 K 0.0604 0.8167 0.8816 (multiplicity 4)
3 K 0.1352 0.5738 0.0878 (multiplicity 4)
4 K 0.1556 0.6478 0.6469 (multiplicity 4)
5 K 0.2266 0.8577 0.4416 (multiplicity 4)
6 K 0.2442 0.1080 0.6306 (multiplicity 4)
7 Sn 0.0739 0.3894 0.8622 (multiplicity 4)
8 Sn 0.1221 0.3933 0.3859 (multiplicity 4)
9 S 0.0183 0.5055 0.4952 (multiplicity 4)
10 S 0.0220 0.4149 0.2389 (multiplicity 4)
11 S 0.0902 0.3277 0.0152 (multiplicity 4)
12 S 0.1231 0.2236 0.4428 (multiplicity 4)
13 S 0.1268 0.5741 0.8640 (multiplicity 4)
14 S 0.1602 0.8882 0.6820 (multiplicity 4)
15 S 0.2129 0.2982 0.7570 (multiplicity 4)

Largest 6 diffraction maxima, sorted by position, 2θ = 5–70°:
2θ = 11.19°, I 57; 2θ = 13.85°, I 100; 2θ = 16.11°, I 76; 2θ = 25.24°, I 58; 2θ = 25.63°, I 90; 2θ = 26.89°, I 55



2.
Theoretical XRD peak list of HoIrRh for Cu Kα, 1.54184 Å, from a crystal structure in Alexandria, relaxed with GGA-PBE.
Peak positions follow from Bragg's law for the DFT cell and can differ from measured ones.

Structural model:
Unit cell a=8.6981 b=5.3381 c=9.2384 alpha=90.00 beta=90.00 gamma=90.00
Space group Amm2 (No. 38)
One atom of each set of equivalent atoms:
1 Ho 0.1836 0.0000 0.0000 (multiplicity 4)
2 Ho 0.3158 0.0000 0.3332 (multiplicity 4)
3 Ir 0.0000 0.2448 0.2494 (multiplicity 4)
4 Ir 0.2500 0.0000 0.6678 (multiplicity 4)
5 Rh 0.0000 0.0000 0.4953 (multiplicity 2)
6 Rh 0.5000 0.0000 0.8356 (multiplicity 2)
7 Rh 0.5000 0.2463 0.0822 (multiplicity 4)

Largest 6 diffraction maxima, sorted by position, 2θ = 5–70°:
2θ = 33.59°, I 39; 2θ = 36.59°, I 64; 2θ = 39.63°, I 100; 2θ = 40.39°, I 68; 2θ = 62.03°, I 26; 2θ = 67.38°, I 25